Theoretical X-ray powder pattern of Li2V3SnO8 for λ = 1.5418 Å (Cu Kα), from a GGA+U-relaxed structure.
No peak broadening, texture or thermal motion is included.

Peak list (8 most intense, 2θ = 15–90°, in order of rising 2θ)
- hkl 1 1 1, 4.900 Å, rel. 24.0
- hkl 2 0 0, 4.244 Å, rel. 50.7
- hkl 2 2 0, 3.001 Å, rel. 41.8
- hkl 3 1 1, 2.559 Å, rel. 100.0
- hkl 3 3 1, 1.947 Å, rel. 17.4
- hkl 5 1 1, 1.633 Å, rel. 44.9
- hkl 4 4 0, 1.500 Å, rel. 38.5
- hkl 5 5 3, 1.105 Å, rel. 19.6

Atomic structure:
```
Li2V3SnO8
1.0
8.4870 0.0000 0.0000
0.0000 8.4870 0.0000
0.0000 0.0000 8.4870
Li V Sn O
8 12 4 32
Cartesian
1.0932 1.0932 1.0932
2.0953 6.3917 2.1482
2.1482 2.0953 6.3917
3.1503 7.3938 5.3367
5.3367 3.1503 7.3938
6.3388 6.3388 6.3388
6.3917 2.1482 2.0953
7.3938 5.3367 3.1503
0.9622 5.2080 5.2336
0.9645 7.4969 7.5248
0.9901 3.2813 3.2790
3.2534 5.2057 7.5225
3.2790 0.9901 3.2813
3.2813 3.2790 0.9901
5.2057 7.5225 3.2534
5.2080 5.2336 0.9622
5.2336 0.9622 5.2080
7.4969 7.5248 0.9645
7.5225 3.2534 5.2057
7.5248 0.9645 7.4969
0.0285 8.4586 4.2150
4.2150 0.0285 8.4586
4.2720 4.2720 4.2720
8.4586 4.2150 0.0285
0.9089 7.4185 0.9451
0.9451 0.9089 7.4185
1.0081 3.2355 5.2516
1.0561 7.2136 5.4437
1.0685 5.1886 3.3346
1.1517 5.3953 7.3353
1.2002 3.1874 1.2734
1.2734 1.2002 3.1874
2.9701 7.2868 7.4309
3.0433 5.2996 5.5169
3.0918 3.0918 3.0918
3.1750 3.2984 7.5782
3.1874 1.2734 1.2002
3.2355 5.2516 1.0081
3.2984 7.5782 3.1750
3.3346 1.0685 5.1886
5.1524 5.3120 7.5419
5.1886 3.3346 1.0685
5.2516 1.0081 3.2355
5.2996 5.5169 3.0433
5.3120 7.5419 5.1524
5.3953 7.3353 1.1517
5.4437 1.0561 7.2136
5.5169 3.0433 5.2996
7.2136 5.4437 1.0561
7.2868 7.4309 2.9701
7.3353 1.1517 5.3953
7.4185 0.9451 0.9089
7.4309 2.9701 7.2868
7.4790 7.4790 7.4790
7.5419 5.1524 5.3120
7.5782 3.1750 3.2984
```